For RbIn4Ir, DFT lattice parameters and positions (GGA-PBE) gives the calculated X-ray diffraction stick pattern in this record (Cu Kα).

Top 10 peaks for 10° ≤ 2θ ≤ 90°, sorted by position:
2θ 10.30, rel. 100; 2θ 14.36, rel. 65; 2θ 30.56, rel. 40; 2θ 30.90, rel. 98; 2θ 32.88, rel. 26; 2θ 35.64, rel. 77; 2θ 37.40, rel. 25; 2θ 38.23, rel. 64; 2θ 41.35, rel. 46; 2θ 42.94, rel. 21

```
RbIn4Ir
1.0
8.8683 0.0000 0.0000
0.0000 4.3666 0.0000
0.0000 0.0000 8.5870
Rb In Ir
2 8 2
Cartesian
2.2171 0.0000 0.7611
6.6512 0.0000 7.8259
0.0000 0.0000 4.2935
0.6354 2.1833 6.6649
2.2171 2.1833 3.7138
3.7987 2.1833 6.6649
4.4341 0.0000 4.2935
5.0695 2.1833 1.9221
6.6512 2.1833 4.8731
8.2329 2.1833 1.9221
2.2171 0.0000 5.7223
6.6512 0.0000 2.8647
```


For Mn2RuAu, DFT lattice parameters and positions (GGA-PBE) gives the calculated X-ray diffraction stick pattern in this record (Cu Kα).

Top 10 peaks for 10° ≤ 2θ ≤ 90°, sorted by position:
2θ 24.92, rel. 32; 2θ 28.86, rel. 7; 2θ 41.26, rel. 100; 2θ 48.81, rel. 17; 2θ 59.78, rel. 16; 2θ 65.78, rel. 7; 2θ 67.72, rel. 3; 2θ 75.22, rel. 33; 2θ 80.68, rel. 6; 2θ 89.61, rel. 11

```
Mn2RuAu
1.0
6.1882 0.0000 0.0000
0.0000 6.1882 0.0000
0.0000 0.0000 6.1882
Mn Ru Au
8 4 4
Cartesian
0.0000 0.0000 0.0000
0.0000 3.0941 3.0941
1.5471 1.5471 1.5471
1.5471 4.6412 4.6412
3.0941 0.0000 3.0941
3.0941 3.0941 0.0000
4.6412 1.5471 4.6412
4.6412 4.6412 1.5471
0.0000 0.0000 3.0941
0.0000 3.0941 0.0000
3.0941 0.0000 0.0000
3.0941 3.0941 3.0941
1.5471 1.5471 4.6412
1.5471 4.6412 1.5471
4.6412 1.5471 1.5471
4.6412 4.6412 4.6412
```


For Pm4Sm5Er3, DFT lattice parameters and positions (GGA-PBE) gives the calculated X-ray diffraction stick pattern in this record (Cu Kα).

Top 10 peaks for 10° ≤ 2θ ≤ 90°, sorted by position:
2θ 28.88, rel. 36; 2θ 29.17, rel. 33; 2θ 30.02, rel. 100; 2θ 30.81, rel. 41; 2θ 31.43, rel. 46; 2θ 32.20, rel. 80; 2θ 32.57, rel. 31; 2θ 33.35, rel. 64; 2θ 43.55, rel. 32; 2θ 59.71, rel. 30

```
Pm4Sm5Er3
1.0
8.1525 -2.9769 0.0000
8.1525 2.9769 0.0000
-4.2086 0.0000 8.3982
Pm Sm Er
4 5 3
Cartesian
-0.5177 0.0000 3.7128
-0.1611 0.0000 7.3805
12.2576 0.0000 1.0176
12.6141 0.0000 4.6854
0.0000 0.0000 0.0000
2.7639 0.0000 5.1445
5.6972 0.0000 2.4963
6.3993 0.0000 5.9018
9.3326 0.0000 3.2536
2.4473 0.0000 1.9263
8.1525 0.0000 0.0000
9.6492 0.0000 6.4718
```


For Li6MgCu3, DFT lattice parameters and positions (GGA-PBE) gives the calculated X-ray diffraction stick pattern in this record (Cu Kα).

Top 10 peaks for 10° ≤ 2θ ≤ 90°, sorted by position:
2θ 19.04, rel. 100; 2θ 26.69, rel. 22; 2θ 27.41, rel. 23; 2θ 38.63, rel. 21; 2θ 39.65, rel. 25; 2θ 42.94, rel. 20; 2θ 43.88, rel. 15; 2θ 44.45, rel. 11; 2θ 46.37, rel. 13; 2θ 53.02, rel. 10

```
Li6MgCu3
1.0
3.6902 -6.5079 0.0000
3.6902 6.5079 0.0000
0.0000 0.0000 6.6790
Li Mg Cu
12 2 6
Cartesian
3.6902 6.1293 3.3395
2.2749 2.1992 0.2563
3.6902 3.0396 2.6601
2.3695 0.3900 2.4752
2.3695 -0.3900 5.8147
2.2749 -2.1992 3.5958
5.1055 2.1992 0.2563
5.0109 0.3900 2.4752
5.0109 -0.3900 5.8147
3.6902 -3.0396 5.9995
5.1055 -2.1992 3.5958
3.6902 -6.1293 0.0000
3.6902 4.1181 5.4876
3.6902 -4.1181 2.1481
1.2538 1.7456 4.4925
1.2538 -1.7456 1.1531
3.6902 1.5375 4.6747
3.6902 -1.5375 1.3352
6.1266 1.7456 4.4925
6.1266 -1.7456 1.1531
```


For Th3Sn3Rh2, DFT lattice parameters and positions (GGA-PBE) gives the calculated X-ray diffraction stick pattern in this record (Cu Kα).

Top 10 peaks for 10° ≤ 2θ ≤ 90°, sorted by position:
2θ 29.13, rel. 47; 2θ 31.03, rel. 100; 2θ 31.75, rel. 33; 2θ 32.27, rel. 58; 2θ 34.55, rel. 61; 2θ 35.23, rel. 57; 2θ 36.17, rel. 52; 2θ 39.30, rel. 55; 2θ 45.55, rel. 25; 2θ 51.98, rel. 22

```
Th3Sn3Rh2
1.0
8.4483 0.0000 0.0000
0.0000 15.7636 0.0000
0.0000 0.0000 5.9784
Th Sn Rh
12 12 8
Cartesian
0.2725 1.7516 0.6334
0.2725 6.1302 0.6334
1.4293 3.9409 3.7830
2.7948 11.8227 0.7938
3.9516 9.6334 3.6226
3.9516 14.0120 3.6226
4.4966 1.7516 2.3558
4.4966 6.1302 2.3558
5.6535 3.9409 5.1846
7.0189 11.8227 2.1954
8.1757 9.6334 5.3450
8.1757 14.0120 5.3450
1.5251 11.8227 3.7599
1.5768 0.5403 3.5912
1.5768 7.3415 3.5912
2.6474 8.4221 0.6020
2.6474 15.2233 0.6020
2.6990 3.9409 0.7707
5.7492 11.8227 5.2077
5.8009 0.5403 5.3765
5.8009 7.3415 5.3765
6.8715 8.4221 2.3873
6.8715 15.2233 2.3873
6.9232 3.9409 2.2185
0.7932 9.6885 2.1801
0.7932 13.9569 2.1801
3.4309 1.8067 5.1693
3.4309 6.0751 5.1693
5.0174 9.6885 0.8091
5.0174 13.9569 0.8091
7.6550 1.8067 3.7983
7.6550 6.0751 3.7983
```


For Rb3Sn8Sb3, DFT lattice parameters and positions (GGA-PBE) gives the calculated X-ray diffraction stick pattern in this record (Cu Kα).

Top 10 peaks for 10° ≤ 2θ ≤ 90°, sorted by position:
2θ 13.17, rel. 49; 2θ 26.93, rel. 56; 2θ 27.25, rel. 72; 2θ 28.88, rel. 100; 2θ 29.72, rel. 80; 2θ 30.11, rel. 34; 2θ 30.75, rel. 51; 2θ 33.08, rel. 62; 2θ 36.21, rel. 80; 2θ 37.57, rel. 81

```
Rb3Sn8Sb3
1.0
-2.3937 6.7249 7.6084
2.3937 -6.7249 7.6084
2.3937 6.7249 -7.6084
Rb Sn Sb
3 8 3
Cartesian
0.0000 0.0000 0.0000
0.0000 0.0000 4.3134
0.0000 0.0000 10.9034
2.3937 2.2353 -1.8840
2.3937 -2.7851 5.0199
2.3937 2.2353 1.8840
0.0000 3.9398 2.5885
2.3937 2.7851 5.0199
0.0000 4.4895 5.7243
0.0000 9.5100 2.5885
0.0000 4.4895 9.4924
2.3937 4.5931 0.0000
0.0000 6.7249 0.0000
0.0000 2.1318 7.6084
```